Starting from the PBE geometry in Alexandria, the X-ray diffraction stick pattern of Tm2PuHg4 was calculated for Cu Kα (weighted mean of Kα1 and Kα2).
Neutral-atom scattering factors, no anomalous dispersion.

Atomic structure:
a = 5.206 Å, b = 5.206 Å, c = 7.055 Å
α = 90.00°, β = 90.00°, γ = 90.00°
Fractional coordinates of all 7 atoms:
Tm 0.000 0.000 0.000
Tm 0.500 0.500 0.500
Pu 0.000 0.000 0.500
Hg 0.000 0.500 0.233
Hg 0.000 0.500 0.767
Hg 0.500 0.000 0.233
Hg 0.500 0.000 0.767

Main lines, sorted by position (2θ = 10–90°):
2θ = 17.03°, d = 5.206 Å, I = 8.6
2θ = 27.33°, d = 3.264 Å, I = 10.7
2θ = 34.46°, d = 2.603 Å, I = 54.5
2θ = 35.24°, d = 2.547 Å, I = 100.0
2θ = 49.52°, d = 1.841 Å, I = 19.9
2θ = 62.23°, d = 1.492 Å, I = 39.5
2θ = 63.74°, d = 1.460 Å, I = 16.9
2θ = 74.51°, d = 1.273 Å, I = 10.9
2θ = 82.94°, d = 1.164 Å, I = 9.3
2θ = 83.40°, d = 1.159 Å, I = 9.0

---

Starting from the PBE geometry in Alexandria, the X-ray diffraction stick pattern of YPu2Hg6 was calculated for Cu Kα (weighted mean of Kα1 and Kα2).
Neutral-atom scattering factors, no anomalous dispersion.

Atomic structure:
a = 6.050 Å, b = 6.050 Å, c = 6.050 Å
α = 92.85°, β = 92.85°, γ = 92.85°
Fractional coordinates of all 9 atoms:
Y 0.000 0.000 0.000
Pu 0.340 0.340 0.340
Pu 0.660 0.660 0.660
Hg 0.165 0.500 0.835
Hg 0.165 0.835 0.500
Hg 0.500 0.165 0.835
Hg 0.500 0.835 0.165
Hg 0.835 0.165 0.500
Hg 0.835 0.500 0.165

Main lines, sorted by position (2θ = 10–90°):
2θ = 33.91°, d = 2.644 Å, I = 96.9
2θ = 35.48°, d = 2.530 Å, I = 100.0
2θ = 45.08°, d = 2.011 Å, I = 14.1
2θ = 49.89°, d = 1.828 Å, I = 33.3
2θ = 62.70°, d = 1.482 Å, I = 33.8
2θ = 63.70°, d = 1.461 Å, I = 18.8
2θ = 67.57°, d = 1.386 Å, I = 31.0
2θ = 75.08°, d = 1.265 Å, I = 11.8
2θ = 84.99°, d = 1.141 Å, I = 15.1
2θ = 89.41°, d = 1.096 Å, I = 15.8

---

Starting from the PBE geometry in Alexandria, the X-ray diffraction stick pattern of YPuHg4 was calculated for Cu Kα (weighted mean of Kα1 and Kα2).
Neutral-atom scattering factors, no anomalous dispersion.

Atomic structure:
a = 5.036 Å, b = 6.771 Å, c = 8.673 Å
α = 90.00°, β = 90.00°, γ = 90.00°
Fractional coordinates of all 12 atoms:
Y 0.000 0.000 0.000
Y 0.500 0.500 0.500
Pu 0.000 0.500 0.000
Pu 0.500 0.000 0.500
Hg 0.000 0.249 0.333
Hg 0.000 0.249 0.667
Hg 0.000 0.751 0.333
Hg 0.000 0.751 0.667
Hg 0.500 0.251 0.167
Hg 0.500 0.251 0.833
Hg 0.500 0.749 0.167
Hg 0.500 0.749 0.833

Main lines, sorted by position (2θ = 10–90°):
2θ = 26.33°, d = 3.385 Å, I = 13.2
2θ = 33.55°, d = 2.671 Å, I = 100.0
2θ = 35.65°, d = 2.518 Å, I = 34.2
2θ = 35.82°, d = 2.507 Å, I = 67.6
2θ = 44.99°, d = 2.015 Å, I = 13.1
2θ = 49.79°, d = 1.831 Å, I = 23.3
2θ = 64.15°, d = 1.452 Å, I = 13.2
2θ = 66.56°, d = 1.405 Å, I = 11.4
2θ = 66.67°, d = 1.403 Å, I = 22.7
2θ = 88.79°, d = 1.102 Å, I = 11.4

---

Starting from the PBE geometry in Alexandria, the X-ray diffraction stick pattern of Y3PuHg12 was calculated for Cu Kα (weighted mean of Kα1 and Kα2).
Neutral-atom scattering factors, no anomalous dispersion.

Atomic structure:
a = 4.578 Å, b = 4.578 Å, c = 18.956 Å
α = 90.00°, β = 90.00°, γ = 90.00°
Fractional coordinates of all 16 atoms:
Y 0.000 0.000 0.000
Y 0.000 0.000 0.248
Y 0.000 0.000 0.752
Pu 0.000 0.000 0.500
Hg 0.000 0.500 0.124
Hg 0.000 0.500 0.372
Hg 0.000 0.500 0.628
Hg 0.000 0.500 0.876
Hg 0.500 0.000 0.124
Hg 0.500 0.000 0.372
Hg 0.500 0.000 0.628
Hg 0.500 0.000 0.876
Hg 0.500 0.500 0.000
Hg 0.500 0.500 0.247
Hg 0.500 0.500 0.500
Hg 0.500 0.500 0.753

Main lines, sorted by position (2θ = 10–90°):
2θ = 33.52°, d = 2.673 Å, I = 100.0
2θ = 37.97°, d = 2.370 Å, I = 17.8
2θ = 39.36°, d = 2.289 Å, I = 32.6
2θ = 55.84°, d = 1.646 Å, I = 23.6
2θ = 56.88°, d = 1.619 Å, I = 11.3
2θ = 65.78°, d = 1.420 Å, I = 14.3
2θ = 67.66°, d = 1.385 Å, I = 26.9
2θ = 70.45°, d = 1.337 Å, I = 11.9
2θ = 81.19°, d = 1.185 Å, I = 2.0
2θ = 84.68°, d = 1.145 Å, I = 3.8

---

Starting from the PBE geometry in Alexandria, the X-ray diffraction stick pattern of Y3PuHg6 was calculated for Cu Kα (weighted mean of Kα1 and Kα2).
Neutral-atom scattering factors, no anomalous dispersion.

Atomic structure:
a = 9.176 Å, b = 5.188 Å, c = 11.232 Å
α = 90.00°, β = 107.95°, γ = 90.00°
Fractional coordinates of all 20 atoms:
Y 0.025 0.250 0.382
Y 0.146 0.750 0.204
Y 0.273 0.250 0.984
Y 0.727 0.750 0.016
Y 0.854 0.250 0.796
Y 0.975 0.750 0.618
Pu 0.446 0.250 0.593
Pu 0.554 0.750 0.407
Hg 0.031 0.750 0.914
Hg 0.154 0.250 0.692
Hg 0.238 0.750 0.496
Hg 0.338 0.250 0.290
Hg 0.353 0.750 0.807
Hg 0.435 0.750 0.109
Hg 0.565 0.250 0.891
Hg 0.647 0.250 0.193
Hg 0.662 0.750 0.710
Hg 0.762 0.250 0.504
Hg 0.846 0.750 0.308
Hg 0.969 0.250 0.086

Main lines, sorted by position (2θ = 10–90°):
2θ = 33.50°, d = 2.675 Å, I = 33.6
2θ = 34.04°, d = 2.633 Å, I = 66.5
2θ = 34.60°, d = 2.592 Å, I = 100.0
2θ = 48.91°, d = 1.862 Å, I = 23.6
2θ = 49.76°, d = 1.832 Å, I = 11.6
2θ = 59.87°, d = 1.545 Å, I = 10.5
2θ = 60.98°, d = 1.519 Å, I = 11.2
2θ = 61.62°, d = 1.505 Å, I = 12.2
2θ = 61.98°, d = 1.497 Å, I = 13.1
2θ = 62.03°, d = 1.496 Å, I = 17.1

---

Starting from the PBE geometry in Alexandria, the X-ray diffraction stick pattern of Pu2ZnHg8 was calculated for Cu Kα (weighted mean of Kα1 and Kα2).
Neutral-atom scattering factors, no anomalous dispersion.

Atomic structure:
a = 4.794 Å, b = 4.794 Å, c = 12.111 Å
α = 90.00°, β = 90.00°, γ = 90.00°
Fractional coordinates of all 11 atoms:
Pu 0.000 0.000 0.192
Pu 0.000 0.000 0.808
Zn 0.000 0.000 0.500
Hg 0.000 0.500 0.000
Hg 0.000 0.500 0.371
Hg 0.000 0.500 0.629
Hg 0.500 0.000 0.000
Hg 0.500 0.000 0.371
Hg 0.500 0.000 0.629
Hg 0.500 0.500 0.188
Hg 0.500 0.500 0.812

Main lines, sorted by position (2θ = 10–90°):
2θ = 30.21°, d = 2.958 Å, I = 33.8
2θ = 34.55°, d = 2.596 Å, I = 100.0
2θ = 37.12°, d = 2.422 Å, I = 15.8
2θ = 37.52°, d = 2.397 Å, I = 52.7
2θ = 53.80°, d = 1.704 Å, I = 22.2
2θ = 54.11°, d = 1.695 Å, I = 18.6
2θ = 63.23°, d = 1.471 Å, I = 8.8
2θ = 65.80°, d = 1.419 Å, I = 31.8
2θ = 67.44°, d = 1.389 Å, I = 11.5
2θ = 67.79°, d = 1.382 Å, I = 16.4

---

Starting from the PBE geometry in Alexandria, the X-ray diffraction stick pattern of PuZn3Hg3 was calculated for Cu Kα (weighted mean of Kα1 and Kα2).
Neutral-atom scattering factors, no anomalous dispersion.

Atomic structure:
a = 7.302 Å, b = 7.302 Å, c = 7.302 Å
α = 90.00°, β = 90.00°, γ = 90.00°
Fractional coordinates of all 14 atoms:
Pu 0.000 0.000 0.000
Pu 0.500 0.500 0.500
Zn 0.000 0.250 0.500
Zn 0.000 0.750 0.500
Zn 0.250 0.500 0.000
Zn 0.500 0.000 0.250
Zn 0.500 0.000 0.750
Zn 0.750 0.500 0.000
Hg 0.000 0.500 0.250
Hg 0.000 0.500 0.750
Hg 0.250 0.000 0.500
Hg 0.500 0.250 0.000
Hg 0.500 0.750 0.000
Hg 0.750 0.000 0.500

Main lines, sorted by position (2θ = 10–90°):
2θ = 24.38°, d = 3.651 Å, I = 41.7
2θ = 27.31°, d = 3.265 Å, I = 32.3
2θ = 29.98°, d = 2.981 Å, I = 100.0
2θ = 42.91°, d = 2.108 Å, I = 16.9
2θ = 46.54°, d = 1.951 Å, I = 60.9
2θ = 49.96°, d = 1.825 Å, I = 26.6
2θ = 56.35°, d = 1.633 Å, I = 17.4
2θ = 70.66°, d = 1.333 Å, I = 17.8
2θ = 73.35°, d = 1.291 Å, I = 17.1
2θ = 81.21°, d = 1.184 Å, I = 18.5

---

Starting from the PBE geometry in Alexandria, the X-ray diffraction stick pattern of PuZn17Hg was calculated for Cu Kα (weighted mean of Kα1 and Kα2).
Neutral-atom scattering factors, no anomalous dispersion.

Atomic structure:
a = 6.856 Å, b = 6.856 Å, c = 6.856 Å
α = 82.28°, β = 82.28°, γ = 82.28°
Fractional coordinates of all 19 atoms:
Pu 0.000 0.000 0.000
Zn 0.008 0.008 0.510
Zn 0.008 0.510 0.008
Zn 0.162 0.674 0.674
Zn 0.314 0.314 0.802
Zn 0.314 0.802 0.314
Zn 0.366 0.659 0.971
Zn 0.366 0.971 0.659
Zn 0.510 0.008 0.008
Zn 0.562 0.562 0.562
Zn 0.659 0.366 0.971
Zn 0.659 0.971 0.366
Zn 0.674 0.162 0.674
Zn 0.674 0.674 0.162
Zn 0.762 0.762 0.762
Zn 0.802 0.314 0.314
Zn 0.971 0.366 0.659
Zn 0.971 0.659 0.366
Hg 0.252 0.252 0.252

Main lines, sorted by position (2θ = 10–90°):
2θ = 13.12°, d = 6.746 Å, I = 27.1
2θ = 28.14°, d = 3.171 Å, I = 30.7
2θ = 29.05°, d = 3.074 Å, I = 32.0
2θ = 34.44°, d = 2.604 Å, I = 62.9
2θ = 35.33°, d = 2.540 Å, I = 57.2
2θ = 39.98°, d = 2.255 Å, I = 79.9
2θ = 40.10°, d = 2.249 Å, I = 100.0
2θ = 40.77°, d = 2.213 Å, I = 34.4
2θ = 45.05°, d = 2.012 Å, I = 40.9
2θ = 72.61°, d = 1.302 Å, I = 26.2

---

Starting from the PBE geometry in Alexandria, the X-ray diffraction stick pattern of RbHg5 was calculated for Cu Kα (weighted mean of Kα1 and Kα2).
Neutral-atom scattering factors, no anomalous dispersion.

Atomic structure:
a = 5.212 Å, b = 6.418 Å, c = 6.563 Å
α = 90.00°, β = 90.00°, γ = 90.00°
Fractional coordinates of all 6 atoms:
Rb 0.000 0.000 0.000
Hg 0.000 0.500 0.270
Hg 0.000 0.500 0.730
Hg 0.500 0.238 0.500
Hg 0.500 0.500 0.000
Hg 0.500 0.762 0.500

Main lines, sorted by position (2θ = 10–90°):
2θ = 13.80°, d = 6.418 Å, I = 100.0
2θ = 25.87°, d = 3.444 Å, I = 56.2
2θ = 31.02°, d = 2.883 Å, I = 53.2
2θ = 32.24°, d = 2.777 Å, I = 97.6
2θ = 32.77°, d = 2.733 Å, I = 53.6
2θ = 34.41°, d = 2.606 Å, I = 59.8
2θ = 35.21°, d = 2.549 Å, I = 79.2
2θ = 35.59°, d = 2.523 Å, I = 58.0
2θ = 47.00°, d = 1.933 Å, I = 34.2
2θ = 67.43°, d = 1.389 Å, I = 39.4

---

Starting from the PBE geometry in Alexandria, the X-ray diffraction stick pattern of Rb3Hg20 was calculated for Cu Kα (weighted mean of Kα1 and Kα2).
Neutral-atom scattering factors, no anomalous dispersion.

Atomic structure:
a = 11.458 Å, b = 11.458 Å, c = 11.458 Å
α = 90.00°, β = 90.00°, γ = 90.00°
Fractional coordinates of all 46 atoms:
Rb 0.000 0.250 0.500
Rb 0.000 0.750 0.500
Rb 0.250 0.500 0.000
Rb 0.500 0.000 0.250
Rb 0.500 0.000 0.750
Rb 0.750 0.500 0.000
Hg 0.000 0.000 0.000
Hg 0.000 0.257 0.134
Hg 0.000 0.257 0.866
Hg 0.000 0.500 0.250
Hg 0.000 0.500 0.750
Hg 0.000 0.743 0.134
Hg 0.000 0.743 0.866
Hg 0.134 0.000 0.257
Hg 0.134 0.000 0.743
Hg 0.243 0.500 0.366
Hg 0.243 0.500 0.634
Hg 0.250 0.000 0.500
Hg 0.250 0.250 0.250
Hg 0.250 0.250 0.750
Hg 0.250 0.750 0.250
Hg 0.250 0.750 0.750
Hg 0.257 0.134 0.000
Hg 0.257 0.866 0.000
Hg 0.366 0.243 0.500
Hg 0.366 0.757 0.500
Hg 0.500 0.250 0.000
Hg 0.500 0.366 0.243
Hg 0.500 0.366 0.757
Hg 0.500 0.500 0.500
Hg 0.500 0.634 0.243
Hg 0.500 0.634 0.757
Hg 0.500 0.750 0.000
Hg 0.634 0.243 0.500
Hg 0.634 0.757 0.500
Hg 0.743 0.134 0.000
Hg 0.743 0.866 0.000
Hg 0.750 0.000 0.500
Hg 0.750 0.250 0.250
Hg 0.750 0.250 0.750
Hg 0.750 0.750 0.250
Hg 0.750 0.750 0.750
Hg 0.757 0.500 0.366
Hg 0.757 0.500 0.634
Hg 0.866 0.000 0.257
Hg 0.866 0.000 0.743

Main lines, sorted by position (2θ = 10–90°):
2θ = 10.92°, d = 8.102 Å, I = 42.4
2θ = 17.31°, d = 5.124 Å, I = 37.1
2θ = 26.96°, d = 3.308 Å, I = 35.1
2θ = 28.08°, d = 3.178 Å, I = 47.8
2θ = 29.16°, d = 3.062 Å, I = 43.6
2θ = 31.23°, d = 2.864 Å, I = 93.2
2θ = 35.92°, d = 2.500 Å, I = 100.0
2θ = 36.79°, d = 2.443 Å, I = 37.2
2θ = 38.49°, d = 2.339 Å, I = 66.9
2θ = 60.46°, d = 1.531 Å, I = 35.8

---

Starting from the PBE geometry in Alexandria, the X-ray diffraction stick pattern of Rb12Hg was calculated for Cu Kα (weighted mean of Kα1 and Kα2).
Neutral-atom scattering factors, no anomalous dispersion.

Atomic structure:
a = 11.124 Å, b = 11.124 Å, c = 11.124 Å
α = 109.47°, β = 109.47°, γ = 109.47°
Fractional coordinates of all 13 atoms:
Rb 0.131 0.306 0.825
Rb 0.175 0.480 0.306
Rb 0.175 0.869 0.694
Rb 0.306 0.175 0.480
Rb 0.306 0.825 0.131
Rb 0.480 0.306 0.175
Rb 0.520 0.694 0.825
Rb 0.694 0.175 0.869
Rb 0.694 0.825 0.520
Rb 0.825 0.131 0.306
Rb 0.825 0.520 0.694
Rb 0.869 0.694 0.175
Hg 0.000 0.000 0.000

Main lines, sorted by position (2θ = 10–90°):
2θ = 21.88°, d = 4.062 Å, I = 100.0
2θ = 24.00°, d = 3.708 Å, I = 38.1
2θ = 25.95°, d = 3.433 Å, I = 95.1
2θ = 40.97°, d = 2.203 Å, I = 42.3
2θ = 42.21°, d = 2.141 Å, I = 18.9
2θ = 43.43°, d = 2.084 Å, I = 42.4
2θ = 48.04°, d = 1.894 Å, I = 18.5
2θ = 50.22°, d = 1.817 Å, I = 22.1
2θ = 60.28°, d = 1.535 Å, I = 17.8
2θ = 61.23°, d = 1.514 Å, I = 18.0

---

Starting from the PBE geometry in Alexandria, the X-ray diffraction stick pattern of Rb7Hg was calculated for Cu Kα (weighted mean of Kα1 and Kα2).
Neutral-atom scattering factors, no anomalous dispersion.

Atomic structure:
a = 13.082 Å, b = 13.082 Å, c = 13.082 Å
α = 33.86°, β = 33.86°, γ = 33.86°
Fractional coordinates of all 8 atoms:
Rb 0.000 0.000 0.000
Rb 0.140 0.140 0.140
Rb 0.267 0.267 0.267
Rb 0.400 0.400 0.400
Rb 0.600 0.600 0.600
Rb 0.733 0.733 0.733
Rb 0.860 0.860 0.860
Hg 0.500 0.500 0.500

Main lines, sorted by position (2θ = 10–90°):
2θ = 13.63°, d = 6.495 Å, I = 12.9
2θ = 21.60°, d = 4.115 Å, I = 20.7
2θ = 23.35°, d = 3.809 Å, I = 100.0
2θ = 23.51°, d = 3.784 Å, I = 50.3
2θ = 32.04°, d = 2.793 Å, I = 26.5
2θ = 33.38°, d = 2.685 Å, I = 20.5
2θ = 41.09°, d = 2.197 Å, I = 45.4
2θ = 43.76°, d = 2.069 Å, I = 11.7
2θ = 47.75°, d = 1.905 Å, I = 14.4
2θ = 64.77°, d = 1.439 Å, I = 17.5

---

Repeat the fifth record exactly.
Starting from the PBE geometry in Alexandria, the X-ray diffraction stick pattern of Y3PuHg6 was calculated for Cu Kα (weighted mean of Kα1 and Kα2).
Neutral-atom scattering factors, no anomalous dispersion.

Atomic structure:
a = 9.176 Å, b = 5.188 Å, c = 11.232 Å
α = 90.00°, β = 107.95°, γ = 90.00°
Fractional coordinates of all 20 atoms:
Y 0.025 0.250 0.382
Y 0.146 0.750 0.204
Y 0.273 0.250 0.984
Y 0.727 0.750 0.016
Y 0.854 0.250 0.796
Y 0.975 0.750 0.618
Pu 0.446 0.250 0.593
Pu 0.554 0.750 0.407
Hg 0.031 0.750 0.914
Hg 0.154 0.250 0.692
Hg 0.238 0.750 0.496
Hg 0.338 0.250 0.290
Hg 0.353 0.750 0.807
Hg 0.435 0.750 0.109
Hg 0.565 0.250 0.891
Hg 0.647 0.250 0.193
Hg 0.662 0.750 0.710
Hg 0.762 0.250 0.504
Hg 0.846 0.750 0.308
Hg 0.969 0.250 0.086

Main lines, sorted by position (2θ = 10–90°):
2θ = 33.50°, d = 2.675 Å, I = 33.6
2θ = 34.04°, d = 2.633 Å, I = 66.5
2θ = 34.60°, d = 2.592 Å, I = 100.0
2θ = 48.91°, d = 1.862 Å, I = 23.6
2θ = 49.76°, d = 1.832 Å, I = 11.6
2θ = 59.87°, d = 1.545 Å, I = 10.5
2θ = 60.98°, d = 1.519 Å, I = 11.2
2θ = 61.62°, d = 1.505 Å, I = 12.2
2θ = 61.98°, d = 1.497 Å, I = 13.1
2θ = 62.03°, d = 1.496 Å, I = 17.1